1.
BaPr2: computed X-ray powder pattern (Cu Kα, 1.54184 Å), based on DFT lattice parameters and positions (PBE).

The 6 most intense peaks (10 to 80 degrees two-theta), by angle:
d (Å)	2theta	intensity
3.617	24.61	24
3.085	28.94	100
2.954	30.26	43
1.969	46.10	37
1.809	50.46	33
1.332	70.73	23

Crystal structure
a b c (Å): 7.2346 7.2346 7.2346
angles (deg): 60.00 60.00 60.00
Sites, in units of the cell vectors:
Ba 0.1250 0.1250 0.1250
Ba 0.8750 0.8750 0.8750
Pr 0.0000 0.5000 0.5000
Pr 0.5000 0.0000 0.5000
Pr 0.5000 0.5000 0.0000
Pr 0.5000 0.5000 0.5000

=====

2.
Ba2PrS3: computed X-ray powder pattern (Cu Kα, 1.54184 Å), based on DFT lattice parameters and positions (PBE).

The 6 most intense peaks (10 to 80 degrees two-theta), by angle:
d (Å)	2theta	intensity
3.643	24.43	18
3.555	25.05	51
3.097	28.82	100
2.210	40.83	36
2.171	41.61	36
1.778	51.40	19

Crystal structure
a b c (Å): 4.3412 4.3412 10.9299
angles (deg): 90.00 90.00 120.00
Sites, in units of the cell vectors:
Ba 0.3333 0.6667 0.1745
Ba 0.6667 0.3333 0.8255
Pr 0.0000 0.0000 0.5000
S 0.0000 0.0000 0.0000
S 0.3333 0.6667 0.6436
S 0.6667 0.3333 0.3564

=====

3.
BaPrZn4: computed X-ray powder pattern (Cu Kα, 1.54184 Å), based on DFT lattice parameters and positions (PBE).

The 6 most intense peaks (10 to 80 degrees two-theta), by angle:
d (Å)	2theta	intensity
2.801	31.96	100
2.773	32.29	32
2.479	36.24	21
2.328	38.68	25
2.281	39.50	36
1.487	62.48	19

Crystal structure
a b c (Å): 6.0139 6.0139 6.0139
angles (deg): 134.45 98.73 98.50
Sites, in units of the cell vectors:
Ba 0.0000 0.0000 0.0000
Pr 0.5779 0.0779 0.5000
Zn 0.0093 0.7143 0.2950
Zn 0.2012 0.3814 0.8198
Zn 0.4193 0.7143 0.7050
Zn 0.5616 0.3814 0.1802

=====

4.
BaPt2S3: computed X-ray powder pattern (Cu Kα, 1.54184 Å), based on DFT lattice parameters and positions (PBE).

The 6 most intense peaks (10 to 80 degrees two-theta), by angle:
d (Å)	2theta	intensity
6.010	14.74	61
3.544	25.13	70
3.005	29.73	100
2.982	29.97	60
1.912	47.54	46
1.491	62.28	27

Crystal structure
a b c (Å): 6.8684 6.8684 12.4135
angles (deg): 90.00 90.00 90.00
Sites, in units of the cell vectors:
Ba 0.1782 0.1782 0.0000
Ba 0.3218 0.6782 0.2500
Ba 0.6782 0.3218 0.7500
Ba 0.8218 0.8218 0.5000
Pt 0.0073 0.2498 0.3752
Pt 0.2498 0.0073 0.6248
Pt 0.2502 0.5073 0.6252
Pt 0.4927 0.7498 0.8748
Pt 0.5073 0.2502 0.3748
Pt 0.7498 0.4927 0.1252
Pt 0.7502 0.9927 0.1248
Pt 0.9927 0.7502 0.8752
S 0.1636 0.2567 0.7456
S 0.2433 0.6636 0.9956
S 0.2430 0.7570 0.7500
S 0.2567 0.1636 0.2544
S 0.2570 0.2570 0.5000
S 0.3364 0.7567 0.5044
S 0.6636 0.2433 0.0044
S 0.7430 0.7430 0.0000
S 0.7433 0.8364 0.7544
S 0.7570 0.2430 0.2500
S 0.7567 0.3364 0.4956
S 0.8364 0.7433 0.2456